# Pm8Nd3Tm2
Computed X-ray diffraction stick pattern, Cu Kα, 1.54184 Å. Input: a crystal structure in Alexandria, relaxed with GGA-PBE.

Peak list (10 most intense, 10 to 90 degrees two-theta, in order of rising 2θ)
| two_theta | I/Imax | index |
| --- | --- | --- |
| 25.33 | 169 | 2 0 1 |
| 29.55 | 275 | 2 2 1 |
| 30.14 | 342 | 1 1 -2 |
| 30.22 | 572 | 0 4 0 |
| 31.26 | 1000 | 4 2 -1 |
| 32.61 | 265 | 2 2 -2 |
| 32.72 | 273 | 3 1 1 |
| 37.17 | 193 | 1 3 -2 |
| 39.34 | 171 | 3 3 1 |
| 54.33 | 204 | 4 6 -1 |

Structure:
a b c (Å): 13.216 11.830 6.221
angles (deg): 90.00 113.43 90.00
Space group C2/m (No. 12)
Asymmetric unit:
Pm: 0.055 0.000 0.286
Pm: 0.155 0.500 0.550
Pm: 0.174 0.243 0.174
Nd: 0.000 0.257 0.500
Nd: 0.000 0.500 0.000
Tm: 0.212 0.000 0.857